# 1
For SiHgAu3, a GGA-PBE-relaxed structure gives the simulated X-ray powder pattern in this record (Cu Kα, 1.54184 Å).

Structure:
```
SiHgAu3
1.0
3.535 -6.130 0.000
3.535 6.130 0.000
-2.238 0.000 4.877
Si Hg Au
2 2 6
Cartesian
2.416 4.200 2.439 Si
3.535 -4.200 0.000 Si
1.642 0.532 4.303 Hg
2.761 -0.532 1.865 Hg
3.323 5.695 0.564 Au
2.224 3.021 0.204 Au
2.810 3.391 4.797 Au
1.105 -3.021 2.643 Au
2.204 -5.695 3.003 Au
3.930 -3.391 2.358 Au
```

Principal peaks in the range 2θ = 10–80°, low angle first:
28.15°, 3.170 Å, intensity 28; 29.14°, 3.065 Å, intensity 48; 31.44°, 2.846 Å, intensity 100; 34.24°, 2.619 Å, intensity 25; 38.75°, 2.324 Å, intensity 21; 40.23°, 2.242 Å, intensity 22; 40.96°, 2.203 Å, intensity 17; 43.70°, 2.071 Å, intensity 19; 44.38°, 2.041 Å, intensity 27; 46.22°, 1.964 Å, intensity 22

# 2
For Ac3IO8, a GGA-PBE-relaxed structure gives the simulated X-ray powder pattern in this record (Cu Kα, 1.54184 Å).

Structure:
```
Ac3IO8
1.0
7.761 0.000 0.000
-3.880 6.721 0.000
0.000 0.000 6.897
Ac I O
6 2 16
Cartesian
0.000 2.241 0.000 Ac
-1.940 5.600 0.000 Ac
1.941 1.120 3.449 Ac
1.940 5.600 0.000 Ac
5.820 1.120 3.449 Ac
3.880 4.480 3.449 Ac
0.000 4.481 3.255 I
3.880 2.240 6.703 I
0.000 0.000 1.984 O
0.000 0.000 5.433 O
-1.372 3.689 2.186 O
0.000 2.804 4.245 O
-1.452 5.319 4.245 O
0.000 4.481 6.595 O
2.429 1.402 0.796 O
1.372 3.689 2.186 O
0.000 6.065 2.186 O
3.880 0.656 5.635 O
2.509 3.032 5.635 O
1.452 5.319 4.245 O
3.880 2.240 3.146 O
5.332 1.402 0.796 O
3.880 3.916 0.796 O
5.252 3.032 5.635 O
```

Principal peaks in the range 2θ = 10–80°, low angle first:
25.83°, 3.449 Å, intensity 32; 26.52°, 3.360 Å, intensity 22; 29.57°, 3.021 Å, intensity 100; 37.36°, 2.407 Å, intensity 25; 46.82°, 1.940 Å, intensity 25; 47.94°, 1.898 Å, intensity 30; 54.25°, 1.691 Å, intensity 28; 56.36°, 1.633 Å, intensity 17; 73.47°, 1.289 Å, intensity 11; 76.22°, 1.249 Å, intensity 16

# 3
For Ac8Y2Er, a GGA-PBE-relaxed structure gives the simulated X-ray powder pattern in this record (Cu Kα, 1.54184 Å).

Structure:
```
Ac8Y2Er
1.0
9.811 -2.764 0.000
9.811 2.764 0.000
-2.302 0.000 8.351
Ac Y Er
8 2 1
Cartesian
0.392 0.000 1.923 Ac
1.122 0.000 5.755 Ac
4.905 0.000 4.886 Ac
7.862 0.000 0.398 Ac
9.457 0.000 7.953 Ac
12.415 0.000 3.465 Ac
16.198 0.000 2.596 Ac
16.928 0.000 6.428 Ac
4.134 0.000 1.104 Y
13.186 0.000 7.247 Y
8.660 0.000 4.176 Er
```

Principal peaks in the range 2θ = 10–80°, low angle first:
28.20°, 3.165 Å, intensity 100; 32.39°, 2.764 Å, intensity 18; 32.71°, 2.738 Å, intensity 17; 32.93°, 2.720 Å, intensity 17; 46.69°, 1.945 Å, intensity 13; 46.86°, 1.939 Å, intensity 13; 55.21°, 1.664 Å, intensity 8; 55.25°, 1.662 Å, intensity 8; 55.59°, 1.653 Å, intensity 8; 55.71°, 1.650 Å, intensity 8

# 4
For NaCl2F2, a GGA-PBE-relaxed structure gives the simulated X-ray powder pattern in this record (Cu Kα, 1.54184 Å).

Structure:
```
NaCl2F2
1.0
7.210 0.000 0.000
0.000 7.210 0.000
0.000 0.000 3.504
Na Cl F
2 4 4
Cartesian
0.000 0.000 0.000 Na
3.605 3.605 0.000 Na
0.697 2.908 0.000 Cl
2.908 6.513 0.000 Cl
4.302 0.697 0.000 Cl
6.513 4.302 0.000 Cl
1.665 5.270 1.752 F
1.939 1.665 1.752 F
5.270 5.544 1.752 F
5.544 1.939 1.752 F
```

Principal peaks in the range 2θ = 10–80°, low angle first:
17.39°, 5.098 Å, intensity 32; 25.42°, 3.504 Å, intensity 27; 27.67°, 3.224 Å, intensity 23; 35.21°, 2.549 Å, intensity 34; 35.74°, 2.512 Å, intensity 100; 37.92°, 2.373 Å, intensity 48; 45.35°, 2.000 Å, intensity 32; 52.22°, 1.752 Å, intensity 17; 52.71°, 1.737 Å, intensity 23; 72.02°, 1.311 Å, intensity 19

# 5
For Rb6Pb5Cl16, a GGA-PBE-relaxed structure gives the simulated X-ray powder pattern in this record (Cu Kα, 1.54184 Å).

Structure:
```
Rb6Pb5Cl16
1.0
8.596 -8.583 0.000
8.596 8.583 0.000
-0.491 0.000 11.493
Rb Pb Cl
12 10 32
Cartesian
4.298 4.291 0.000 Rb
8.596 6.436 0.000 Rb
8.351 6.160 5.746 Rb
2.605 0.000 8.423 Rb
6.046 0.000 5.438 Rb
6.412 0.000 0.133 Rb
4.298 -4.291 0.000 Rb
10.289 0.000 11.359 Rb
10.655 0.000 6.055 Rb
14.097 0.000 3.070 Rb
8.351 -6.160 5.746 Rb
8.596 -6.436 0.000 Rb
4.455 4.103 3.975 Pb
2.816 0.000 3.037 Pb
7.607 2.964 8.638 Pb
9.095 2.964 2.855 Pb
12.246 4.103 7.518 Pb
4.455 -4.103 3.975 Pb
7.607 -2.964 8.638 Pb
9.095 -2.964 2.855 Pb
13.886 0.000 8.456 Pb
12.246 -4.103 7.518 Pb
0.075 0.000 3.435 Cl
6.151 5.371 9.117 Cl
3.155 1.884 5.626 Cl
6.697 5.151 2.559 Cl
2.558 0.000 0.251 Cl
5.009 2.116 9.229 Cl
5.243 1.859 2.537 Cl
6.535 3.288 5.922 Cl
10.005 5.151 8.934 Cl
3.155 -1.884 5.626 Cl
10.550 5.371 2.376 Cl
8.596 2.616 0.000 Cl
10.167 3.288 5.571 Cl
5.243 -1.859 2.537 Cl
5.009 -2.116 9.229 Cl
8.018 0.000 8.220 Cl
8.683 0.000 3.273 Cl
11.692 2.116 2.264 Cl
11.459 1.859 8.956 Cl
6.535 -3.288 5.922 Cl
8.596 -2.616 0.000 Cl
6.151 -5.371 9.117 Cl
13.547 1.884 5.867 Cl
6.697 -5.151 2.559 Cl
10.167 -3.288 5.571 Cl
11.459 -1.859 8.956 Cl
11.692 -2.116 2.264 Cl
14.143 0.000 11.242 Cl
10.005 -5.151 8.934 Cl
13.547 -1.884 5.867 Cl
10.550 -5.371 2.376 Cl
16.626 0.000 8.058 Cl
```

Principal peaks in the range 2θ = 10–80°, low angle first:
10.31°, 8.584 Å, intensity 31; 15.42°, 5.746 Å, intensity 30; 22.06°, 4.029 Å, intensity 31; 22.39°, 3.972 Å, intensity 42; 22.68°, 3.920 Å, intensity 45; 23.02°, 3.864 Å, intensity 35; 23.17°, 3.839 Å, intensity 100; 31.12°, 2.874 Å, intensity 37; 32.99°, 2.715 Å, intensity 54; 44.73°, 2.026 Å, intensity 40

# 6
For Tb6Yb, a GGA-PBE-relaxed structure gives the simulated X-ray powder pattern in this record (Cu Kα, 1.54184 Å).

Structure:
```
Tb6Yb
1.0
-4.095 4.095 4.095
4.095 -4.095 4.095
4.095 4.095 -4.095
Tb Yb
6 1
Cartesian
4.095 2.047 0.000 Tb
4.095 0.000 2.047 Tb
2.047 4.095 0.000 Tb
2.047 0.000 4.095 Tb
0.000 4.095 2.047 Tb
0.000 2.047 4.095 Tb
0.000 0.000 0.000 Yb
```

Principal peaks in the range 2θ = 10–80°, low angle first:
15.30°, 5.791 Å, intensity 17; 21.70°, 4.095 Å, intensity 41; 26.66°, 3.343 Å, intensity 100; 38.06°, 2.364 Å, intensity 33; 41.25°, 2.189 Å, intensity 63; 44.24°, 2.047 Å, intensity 34; 49.79°, 1.831 Å, intensity 18; 62.07°, 1.495 Å, intensity 19; 64.35°, 1.448 Å, intensity 22; 70.94°, 1.329 Å, intensity 19

# 7
For Ce4Sm2Te3H2, a GGA-PBE-relaxed structure gives the simulated X-ray powder pattern in this record (Cu Kα, 1.54184 Å).

Structure:
```
Ce4Sm2Te3H2
1.0
-2.237 2.237 13.529
2.237 -2.237 13.529
2.237 2.237 -13.529
Ce Sm Te H
4 2 3 2
Cartesian
2.237 0.000 2.352 Ce
2.237 0.000 11.176 Ce
0.000 2.237 2.352 Ce
0.000 2.237 11.176 Ce
0.000 0.000 5.523 Sm
0.000 0.000 21.535 Sm
0.000 0.000 8.723 Te
0.000 0.000 13.529 Te
0.000 0.000 18.334 Te
0.000 0.000 1.792 H
0.000 0.000 25.266 H
```

Principal peaks in the range 2θ = 10–80°, low angle first:
26.35°, 3.382 Å, intensity 13; 28.99°, 3.081 Å, intensity 51; 30.56°, 2.925 Å, intensity 26; 31.21°, 2.866 Å, intensity 38; 33.11°, 2.706 Å, intensity 22; 34.63°, 2.590 Å, intensity 100; 40.32°, 2.237 Å, intensity 55; 53.12°, 1.724 Å, intensity 23; 58.33°, 1.582 Å, intensity 19; 69.65°, 1.350 Å, intensity 27

# 8
For HoTiSb3, a GGA-PBE-relaxed structure gives the simulated X-ray powder pattern in this record (Cu Kα, 1.54184 Å).

Structure:
```
HoTiSb3
1.0
12.878 0.000 0.000
0.000 6.288 0.000
0.000 0.000 6.140
Ho Ti Sb
4 4 12
Cartesian
2.363 0.059 1.535 Ho
2.363 3.085 4.605 Ho
10.515 3.203 1.535 Ho
10.515 6.229 4.605 Ho
5.222 4.716 0.000 Ti
5.222 4.716 3.070 Ti
7.656 1.572 0.000 Ti
7.656 1.572 3.070 Ti
0.038 4.716 0.000 Sb
0.038 4.716 3.070 Sb
3.427 3.152 1.535 Sb
3.427 6.280 4.605 Sb
5.485 0.709 1.535 Sb
5.485 2.435 4.605 Sb
7.393 3.853 1.535 Sb
7.393 5.579 4.605 Sb
9.452 0.008 1.535 Sb
9.452 3.136 4.605 Sb
12.841 1.572 0.000 Sb
12.841 1.572 3.070 Sb
```

Principal peaks in the range 2θ = 10–80°, low angle first:
29.08°, 3.070 Å, intensity 68; 31.67°, 2.825 Å, intensity 90; 32.30°, 2.771 Å, intensity 59; 34.54°, 2.597 Å, intensity 100; 34.83°, 2.576 Å, intensity 31; 35.39°, 2.536 Å, intensity 43; 35.96°, 2.497 Å, intensity 37; 41.09°, 2.197 Å, intensity 77; 68.64°, 1.367 Å, intensity 28; 69.72°, 1.349 Å, intensity 28